[1]
# PrN
Theoretical X-ray diffraction stick pattern, a wavelength of 1.5418 Å. Input: DFT lattice parameters and positions (GGA-PBE).

Atomic structure:
```
PrN
1.0
4.457 0.000 0.000
0.000 4.457 0.000
0.000 0.000 3.714
Pr N
2 2
direct
0.250 0.250 0.245 Pr
0.750 0.750 0.755 Pr
0.250 0.750 0.500 N
0.750 0.250 0.500 N
```

Principal peaks in the range 2θ = 10–80°, in order of falling intensity:
2θ/deg	I_rel
31.35	100.0
28.32	52.5
52.07	48.0
40.47	29.7
57.61	20.4
67.95	10.7
65.42	10.4
66.31	10.0
58.57	9.7
49.06	6.0

[2]
# Ce2B8O15
Theoretical X-ray diffraction stick pattern, a wavelength of 1.5418 Å. Input: DFT lattice parameters and positions (GGA-PBE).

Atomic structure:
```
Ce2B8O15
1.0
9.214 0.000 0.000
0.000 4.244 0.000
-5.615 0.000 11.248
Ce B O
4 16 30
direct
0.142 0.236 0.448 Ce
0.142 0.764 0.948 Ce
0.858 0.236 0.052 Ce
0.858 0.764 0.552 Ce
0.107 0.285 0.704 B
0.107 0.715 0.204 B
0.284 0.231 0.234 B
0.284 0.769 0.734 B
0.405 0.283 0.873 B
0.405 0.717 0.373 B
0.414 0.208 0.086 B
0.414 0.792 0.586 B
0.586 0.208 0.414 B
0.586 0.792 0.914 B
0.595 0.283 0.627 B
0.595 0.717 0.127 B
0.716 0.231 0.266 B
0.716 0.769 0.766 B
0.893 0.285 0.796 B
0.893 0.715 0.296 B
0.000 0.149 0.750 O
0.000 0.851 0.250 O
0.029 0.240 0.578 O
0.029 0.760 0.078 O
0.141 0.379 0.236 O
0.141 0.621 0.736 O
0.276 0.119 0.764 O
0.276 0.881 0.264 O
0.287 0.275 0.122 O
0.287 0.725 0.622 O
0.339 0.311 0.960 O
0.339 0.689 0.460 O
0.427 0.378 0.339 O
0.427 0.622 0.839 O
0.444 0.128 0.590 O
0.444 0.872 0.090 O
0.556 0.128 0.910 O
0.556 0.872 0.410 O
0.573 0.378 0.161 O
0.573 0.622 0.661 O
0.661 0.311 0.540 O
0.661 0.689 0.040 O
0.713 0.275 0.378 O
0.713 0.725 0.878 O
0.724 0.119 0.736 O
0.724 0.881 0.236 O
0.859 0.379 0.264 O
0.859 0.621 0.764 O
0.971 0.240 0.922 O
0.971 0.760 0.422 O
```

Principal peaks in the range 2θ = 10–80°, in order of falling intensity:
2θ/deg	I_rel
33.72	100.0
10.73	83.6
29.39	78.0
29.97	70.2
28.65	69.9
23.28	57.1
44.49	56.1
15.76	54.2
22.78	36.3
42.61	33.3

[3]
# CaMg14Fe
Theoretical X-ray diffraction stick pattern, a wavelength of 1.5418 Å. Input: DFT lattice parameters and positions (GGA-PBE).

Atomic structure:
```
CaMg14Fe
1.0
6.394 0.000 0.000
-3.197 5.537 0.000
0.000 0.000 10.097
Ca Mg Fe
1 14 1
direct
0.000 0.000 0.000 Ca
0.010 0.505 0.000 Mg
0.162 0.323 0.271 Mg
0.162 0.323 0.729 Mg
0.162 0.838 0.271 Mg
0.162 0.838 0.729 Mg
0.495 0.505 0.000 Mg
0.495 0.990 0.000 Mg
0.503 0.007 0.500 Mg
0.503 0.497 0.500 Mg
0.667 0.333 0.241 Mg
0.667 0.333 0.759 Mg
0.677 0.838 0.271 Mg
0.677 0.838 0.729 Mg
0.993 0.497 0.500 Mg
0.000 0.000 0.500 Fe
```

Principal peaks in the range 2θ = 10–80°, in order of falling intensity:
2θ/deg	I_rel
37.03	100.0
32.33	25.8
35.57	23.2
57.67	17.3
69.62	17.2
64.84	14.7
48.82	14.5
70.54	13.3
16.01	8.5
23.85	4.4

[4]
# CuSbTe2
Theoretical X-ray diffraction stick pattern, a wavelength of 1.5418 Å. Input: DFT lattice parameters and positions (GGA-PBE).

Atomic structure:
```
CuSbTe2
1.0
4.361 0.000 0.000
-2.181 3.777 0.000
0.000 0.000 21.640
Cu Sb Te
3 3 6
direct
0.000 0.000 0.000 Cu
0.333 0.667 0.667 Cu
0.667 0.333 0.333 Cu
0.000 0.000 0.639 Sb
0.333 0.667 0.305 Sb
0.667 0.333 0.972 Sb
0.000 0.000 0.214 Te
0.000 0.000 0.796 Te
0.333 0.667 0.463 Te
0.333 0.667 0.881 Te
0.667 0.333 0.130 Te
0.667 0.333 0.548 Te
```

Principal peaks in the range 2θ = 10–80°, in order of falling intensity:
2θ/deg	I_rel
31.44	100.0
41.41	62.5
24.97	48.7
37.60	35.0
52.90	22.5
69.31	19.6
23.92	15.7
57.01	15.5
67.39	13.6
12.27	13.3

[5]
# Fe2NiSe4
Theoretical X-ray diffraction stick pattern, a wavelength of 1.5418 Å. Input: DFT lattice parameters and positions (GGA-PBE).

Atomic structure:
```
Fe2NiSe4
1.0
12.531 0.000 0.000
0.000 3.492 0.000
-2.897 0.000 5.415
Fe Ni Se
4 2 8
direct
0.246 0.000 0.200 Fe
0.254 0.500 0.800 Fe
0.746 0.500 0.200 Fe
0.754 0.000 0.800 Fe
0.000 0.500 0.500 Ni
0.500 0.000 0.500 Ni
0.111 0.500 0.951 Se
0.139 0.000 0.479 Se
0.361 0.500 0.521 Se
0.389 0.000 0.049 Se
0.611 0.000 0.951 Se
0.639 0.500 0.479 Se
0.861 0.000 0.521 Se
0.889 0.500 0.049 Se
```

Principal peaks in the range 2θ = 10–80°, in order of falling intensity:
2θ/deg	I_rel
33.54	100.0
44.58	73.1
51.78	60.8
44.10	53.0
33.69	52.4
33.84	46.7
52.41	35.1
33.09	34.4
58.95	19.8
43.62	19.6

[6]
# HgMo6Se4S4
Theoretical X-ray diffraction stick pattern, a wavelength of 1.5418 Å. Input: DFT lattice parameters and positions (GGA-PBE).

Atomic structure:
```
HgMo6Se4S4
1.0
6.650 0.000 0.000
-0.223 6.720 0.000
-0.217 -0.203 6.746
Hg Mo Se S
1 6 4 4
direct
0.000 0.000 0.000 Hg
0.222 0.405 0.564 Mo
0.412 0.553 0.235 Mo
0.441 0.771 0.591 Mo
0.560 0.229 0.419 Mo
0.589 0.437 0.780 Mo
0.781 0.584 0.446 Mo
0.224 0.223 0.234 Se
0.259 0.620 0.880 Se
0.627 0.874 0.265 Se
0.775 0.769 0.774 Se
0.133 0.712 0.391 S
0.387 0.128 0.721 S
0.721 0.385 0.137 S
0.868 0.279 0.622 S
```

Principal peaks in the range 2θ = 10–80°, in order of falling intensity:
2θ/deg	I_rel
18.39	100.0
39.72	78.6
29.32	75.4
22.74	67.9
41.65	57.9
18.46	53.1
29.59	50.0
45.04	41.6
39.86	39.2
19.08	38.7

[7]
# U2Si5Ru2Rh
Theoretical X-ray diffraction stick pattern, a wavelength of 1.5418 Å. Input: DFT lattice parameters and positions (GGA-PBE).

Atomic structure:
```
U2Si5Ru2Rh
1.0
5.604 -5.890 0.000
5.604 5.890 0.000
-2.694 0.000 4.962
U Si Ru Rh
4 10 4 2
direct
0.092 0.366 0.233 U
0.366 0.092 0.733 U
0.634 0.908 0.267 U
0.908 0.634 0.767 U
0.014 0.986 0.750 Si
0.234 0.439 0.835 Si
0.277 0.723 0.750 Si
0.293 0.707 0.250 Si
0.439 0.234 0.335 Si
0.561 0.766 0.665 Si
0.707 0.293 0.750 Si
0.723 0.277 0.250 Si
0.766 0.561 0.165 Si
0.986 0.014 0.250 Si
0.041 0.754 0.366 Ru
0.246 0.959 0.134 Ru
0.754 0.041 0.866 Ru
0.959 0.246 0.634 Ru
0.500 0.500 0.250 Rh
0.500 0.500 0.750 Rh
```

Principal peaks in the range 2θ = 10–80°, in order of falling intensity:
2θ/deg	I_rel
35.50	100.0
34.71	50.9
44.46	50.5
23.81	33.3
36.20	31.6
30.35	26.4
23.44	25.4
31.71	24.6
24.40	19.9
37.20	16.8